Computed powder diffractogram of Mg2Sc2ZnAu3 for Cu Kα, from DFT lattice parameters and positions (GGA-PBE).
Peak positions follow from Bragg's law for the DFT cell and can differ from measured ones.

Largest 6 diffraction maxima, in order of falling intensity, 2θ from 10° to 90°:
two_theta  d [Å]  I_rel  index
38.15  2.359  100  2 0 0
26.72  3.336  52  1 1 0
68.94  1.362  35  3 1 2
62.22  1.492  21  3 1 0
55.05  1.668  17  2 2 0
47.18  1.926  16  2 0 2

Cell and atoms:
Lattice parameters (Å, degrees): 4.718 4.718 6.674 90.00 90.00 90.00
Space group P-4m2 (No. 115)
Symmetry-distinct sites (fractional):
Mg 0.000 0.500 0.249 (multiplicity 2)
Sc 0.000 0.500 0.750 (multiplicity 2)
Zn 0.000 0.000 0.500 (multiplicity 1)
Au 0.000 0.000 0.000 (multiplicity 1)
Au 0.500 0.500 0.000 (multiplicity 1)
Au 0.500 0.500 0.500 (multiplicity 1)